1.
Simulated X-ray powder pattern
Compound: PuMg4In4
Radiation: Cu Kα, 1.54184 Å
Structure: DFT lattice parameters and positions (GGA-PBE)
Neutral-atom scattering factors, no anomalous dispersion.

Principal peaks in the range 10° ≤ 2θ ≤ 90°, sorted by position:
(1 0 1), 2θ 15.81, I = 49; (1 1 2), 2θ 25.66, I = 52; (2 0 1), 2θ 28.00, I = 98; (1 0 3), 2θ 29.48, I = 59; (2 1 1), 2θ 31.07, I = 100; (2 0 2), 2θ 31.94, I = 22; (0 0 4), 2θ 35.23, I = 23; (2 0 3), 2θ 37.71, I = 76; (2 2 2), 2θ 42.01, I = 69; (2 1 5), 2θ 54.42, I = 31; (4 0 0), 2θ 54.72, I = 26; (4 2 3), 2θ 68.36, I = 21

Structural model:
```
data_PuMg4In4
_symmetry_space_group_name_H-M 'P 42/n m c'
_symmetry_Int_Tables_number 137
_cell_length_a 6.710
_cell_length_b 6.710
_cell_length_c 10.190
_cell_angle_alpha 90.00
_cell_angle_beta 90.00
_cell_angle_gamma 90.00
loop_
_symmetry_equiv_pos_as_xyz
'x,y,z'
'-x,-y,-z'
'-y+1/2,x,z+1/2'
'y+1/2,-x,-z+1/2'
'-x+1/2,-y+1/2,z'
'x+1/2,y+1/2,-z'
'y,-x+1/2,z+1/2'
'-y,x+1/2,-z+1/2'
'x+1/2,-y,-z'
'-x+1/2,y,z'
'-y,-x,-z+1/2'
'y,x,z+1/2'
'-x,y+1/2,-z'
'x,-y+1/2,z'
'y+1/2,x+1/2,-z+1/2'
'-y+1/2,-x+1/2,z+1/2'
loop_
_atom_site_label
_atom_site_type_symbol
_atom_site_fract_x
_atom_site_fract_y
_atom_site_fract_z
_atom_site_occupancy
Pu1 Pu 0.250 0.750 0.250 1
Mg1 Mg 0.032 0.250 0.178 1
In1 In 0.018 0.250 0.468 1
```

2.
Simulated X-ray powder pattern
Compound: Pu2MgIn6
Radiation: Cu Kα, 1.54184 Å
Structure: DFT lattice parameters and positions (GGA-PBE)
Neutral-atom scattering factors, no anomalous dispersion.

Principal peaks in the range 10° ≤ 2θ ≤ 90°, sorted by position:
(0 0 1), 2θ 11.34, I = 35; (1 0 1), 2θ 30.12, I = 11; (-1 1 1), 2θ 34.26, I = 33; (0 0 3), 2θ 34.35, I = 100; (0 3 0), 2θ 34.44, I = 33; (0 3 -3), 2θ 34.66, I = 33; (1 2 -4), 2θ 49.51, I = 18; (0 3 3), 2θ 61.50, I = 12; (1 -5 1), 2θ 61.62, I = 9; (0 3 -6), 2θ 61.92, I = 18; (2 0 -3), 2θ 68.62, I = 9; (2 3 0), 2θ 68.79, I = 13

Structural model:
```
data_Pu2MgIn6
_symmetry_space_group_name_H-M 'P -1'
_symmetry_Int_Tables_number 2
_cell_length_a 3.209
_cell_length_b 8.979
_cell_length_c 8.993
_cell_angle_alpha 119.52
_cell_angle_beta 90.04
_cell_angle_gamma 90.10
loop_
_symmetry_equiv_pos_as_xyz
'x,y,z'
'-x,-y,-z'
loop_
_atom_site_label
_atom_site_type_symbol
_atom_site_fract_x
_atom_site_fract_y
_atom_site_fract_z
_atom_site_occupancy
Pu1 Pu 0.000 0.167 0.334 1
Mg1 Mg 0.000 0.500 0.000 1
In1 In 0.499 0.500 0.329 1
In2 In 0.499 0.829 0.000 1
In3 In 0.499 0.830 0.330 1
```

3.
Simulated X-ray powder pattern
Compound: PuMg2In5
Radiation: Cu Kα, 1.54184 Å
Structure: DFT lattice parameters and positions (GGA-PBE)
Neutral-atom scattering factors, no anomalous dispersion.

Principal peaks in the range 10° ≤ 2θ ≤ 90°, sorted by position:
(0 0 2), 2θ 10.22, I = 34; (1 1 1), 2θ 19.38, I = 7; (2 0 2), 2θ 28.51, I = 24; (0 0 6), 2θ 31.00, I = 7; (2 0 4), 2θ 33.79, I = 100; (2 2 0), 2θ 37.90, I = 37; (0 0 8), 2θ 41.74, I = 13; (2 2 6), 2θ 49.74, I = 8; (2 2 8), 2θ 57.64, I = 20; (2 0 10), 2θ 60.14, I = 6; (4 2 4), 2θ 65.84, I = 28; (4 0 8), 2θ 71.13, I = 15

Structural model:
```
data_PuMg2In5
_symmetry_space_group_name_H-M 'F m m m'
_symmetry_Int_Tables_number 69
_symmetry_space_group_name_Hall '-F 2 2'
_cell_length_a 6.708
_cell_length_b 6.722
_cell_length_c 17.310
_cell_angle_alpha 90.00
_cell_angle_beta 90.00
_cell_angle_gamma 90.00
loop_
_atom_site_label
_atom_site_type_symbol
_atom_site_fract_x
_atom_site_fract_y
_atom_site_fract_z
_atom_site_occupancy
Pu1 Pu 0.000 0.000 0.000 1
Mg1 Mg 0.000 0.000 0.244 1
In1 In 0.000 0.000 0.500 1
In2 In 0.250 0.250 0.132 1
```

4.
Simulated X-ray powder pattern
Compound: RbMg12In7
Radiation: Cu Kα, 1.54184 Å
Structure: DFT lattice parameters and positions (GGA-PBE)
Neutral-atom scattering factors, no anomalous dispersion.

Principal peaks in the range 10° ≤ 2θ ≤ 90°, sorted by position:
(0 2 1), 2θ 17.61, I = 49; (2 1 1), 2θ 21.19, I = 36; (1 2 2), 2θ 28.97, I = 59; (4 0 1), 2θ 29.53, I = 15; (3 1 2), 2θ 33.56, I = 14; (3 3 0), 2θ 35.61, I = 100; (3 0 3), 2θ 40.08, I = 28; (5 0 2), 2θ 41.37, I = 19; (3 3 3), 2θ 50.14, I = 19; (0 6 3), 2θ 54.67, I = 13; (6 3 3), 2θ 66.95, I = 15; (6 6 0), 2θ 75.38, I = 14

Structural model:
```
data_RbMg12In7
_symmetry_space_group_name_H-M 'R -3 m'
_symmetry_Int_Tables_number 166
_symmetry_space_group_name_Hall '-R 3 2"'
_cell_length_a 15.1341
_cell_length_b 15.1341
_cell_length_c 7.8737
_cell_angle_alpha 90.00
_cell_angle_beta 90.00
_cell_angle_gamma 120.00
loop_
_atom_site_label
_atom_site_type_symbol
_atom_site_fract_x
_atom_site_fract_y
_atom_site_fract_z
_atom_site_occupancy
Rb1 Rb 0.0000 0.0000 0.0000 1
Mg1 Mg 0.0000 0.2635 0.0000 1
Mg2 Mg 0.1106 0.2212 0.3349 1
In1 In 0.0000 0.0000 0.5000 1
In2 In 0.1031 0.5515 0.3811 1
```

5.
Simulated X-ray powder pattern
Compound: Mg8InRh2
Radiation: Cu Kα, 1.54184 Å
Structure: DFT lattice parameters and positions (GGA-PBE)
Neutral-atom scattering factors, no anomalous dispersion.

Principal peaks in the range 10° ≤ 2θ ≤ 90°, sorted by position:
(1 -1 0), 2θ 22.86, I = 39; (0 1 1), 2θ 23.23, I = 100; (1 1 -1), 2θ 23.64, I = 42; (1 0 1), 2θ 26.58, I = 31; (1 0 -2), 2θ 26.92, I = 30; (0 2 -1), 2θ 27.20, I = 25; (1 -2 2), 2θ 37.93, I = 38; (-1 2 1), 2θ 38.14, I = 67; (2 0 -1), 2θ 38.22, I = 43; (1 2 0), 2θ 38.87, I = 31; (1 2 -3), 2θ 39.16, I = 30; (1 -3 1), 2θ 45.13, I = 35

Structural model:
```
data_Mg8InRh2
_symmetry_space_group_name_H-M 'P 1'
_symmetry_Int_Tables_number 1
_cell_length_a 4.712
_cell_length_b 6.560
_cell_length_c 8.085
_cell_angle_alpha 113.22
_cell_angle_beta 105.45
_cell_angle_gamma 92.00
loop_
_symmetry_equiv_pos_as_xyz
'x,y,z'
loop_
_atom_site_label
_atom_site_type_symbol
_atom_site_fract_x
_atom_site_fract_y
_atom_site_fract_z
_atom_site_occupancy
Mg1 Mg 0.000 0.000 0.000 1
Mg2 Mg 0.024 0.482 0.060 1
Mg3 Mg 0.220 0.357 0.418 1
Mg4 Mg 0.376 0.877 0.655 1
Mg5 Mg 0.452 0.592 0.889 1
Mg6 Mg 0.621 0.075 0.248 1
Mg7 Mg 0.649 0.655 0.308 1
Mg8 Mg 0.918 0.142 0.655 1
In1 In 0.845 0.583 0.654 1
Rh1 Rh 0.150 0.913 0.327 1
Rh2 Rh 0.479 0.241 0.982 1
```

6.
Simulated X-ray powder pattern
Compound: Mg7In2Rh2
Radiation: Cu Kα, 1.54184 Å
Structure: DFT lattice parameters and positions (GGA-PBE)
Neutral-atom scattering factors, no anomalous dispersion.

Principal peaks in the range 10° ≤ 2θ ≤ 90°, sorted by position:
(2 0 0), 2θ 15.59, I = 19; (0 0 1), 2θ 21.35, I = 60; (1 1 -1), 2θ 22.34, I = 14; (3 1 0), 2θ 25.64, I = 22; (2 2 0), 2θ 25.76, I = 20; (1 3 -1), 2θ 36.90, I = 22; (4 2 -1), 2θ 37.33, I = 100; (4 2 0), 2θ 37.79, I = 17; (2 0 -2), 2θ 40.32, I = 29; (0 4 0), 2θ 41.44, I = 18; (5 1 -2), 2θ 48.44, I = 15; (4 2 1), 2θ 49.61, I = 15

Structural model:
```
data_Mg7In2Rh2
_symmetry_space_group_name_H-M 'C 1 2/m 1'
_symmetry_Int_Tables_number 12
_cell_length_a 12.215
_cell_length_b 8.715
_cell_length_c 4.473
_cell_angle_alpha 90.00
_cell_angle_beta 111.47
_cell_angle_gamma 90.00
loop_
_symmetry_equiv_pos_as_xyz
'x,y,z'
'-x,-y,-z'
'-x,y,-z'
'x,-y,z'
'x+1/2,y+1/2,z'
'-x+1/2,-y+1/2,-z'
'-x+1/2,y+1/2,-z'
'x+1/2,-y+1/2,z'
loop_
_atom_site_label
_atom_site_type_symbol
_atom_site_fract_x
_atom_site_fract_y
_atom_site_fract_z
_atom_site_occupancy
Mg1 Mg 0.000 0.000 0.000 1
Mg2 Mg 0.138 0.272 0.137 1
Mg3 Mg 0.166 0.000 0.665 1
In1 In 0.137 0.500 0.636 1
Rh1 Rh 0.000 0.219 0.500 1
```

7.
Simulated X-ray powder pattern
Compound: Mg3InRh4
Radiation: Cu Kα, 1.54184 Å
Structure: DFT lattice parameters and positions (GGA-PBE)
Neutral-atom scattering factors, no anomalous dispersion.

Principal peaks in the range 10° ≤ 2θ ≤ 90°, sorted by position:
(0 0 3), 2θ 12.18, I = 6; (1 0 1), 2θ 23.40, I = 5; (0 1 2), 2θ 24.47, I = 6; (1 0 4), 2θ 28.32, I = 18; (1 1 0), 2θ 40.49, I = 100; (0 2 4), 2θ 50.15, I = 5; (2 0 8), 2θ 58.60, I = 16; (2 1 4), 2θ 66.34, I = 6; (3 0 0), 2θ 73.62, I = 24; (1 0 16), 2θ 73.72, I = 8; (2 2 0), 2θ 87.52, I = 5; (0 2 16), 2θ 87.64, I = 5

Structural model:
```
data_Mg3InRh4
_symmetry_space_group_name_H-M 'R -3 m'
_symmetry_Int_Tables_number 166
_symmetry_space_group_name_Hall '-R 3 2"'
_cell_length_a 4.4583
_cell_length_b 4.4583
_cell_length_c 21.8064
_cell_angle_alpha 90.00
_cell_angle_beta 90.00
_cell_angle_gamma 120.00
loop_
_atom_site_label
_atom_site_type_symbol
_atom_site_fract_x
_atom_site_fract_y
_atom_site_fract_z
_atom_site_occupancy
Mg1 Mg 0.0000 0.0000 0.0000 1
Mg2 Mg 0.0000 0.0000 0.2514 1
In1 In 0.0000 0.0000 0.5000 1
Rh1 Rh 0.0000 0.0000 0.1245 1
Rh2 Rh 0.0000 0.0000 0.3746 1
```

8.
Simulated X-ray powder pattern
Compound: MgIn3Rh2
Radiation: Cu Kα, 1.54184 Å
Structure: DFT lattice parameters and positions (GGA-PBE)
Neutral-atom scattering factors, no anomalous dispersion.

Principal peaks in the range 10° ≤ 2θ ≤ 90°, sorted by position:
(0 1 2), 2θ 17.58, I = 19; (1 0 4), 2θ 24.97, I = 12; (1 1 3), 2θ 29.35, I = 100; (0 2 4), 2θ 35.60, I = 18; (2 1 1), 2θ 38.84, I = 9; (1 1 6), 2θ 40.03, I = 70; (3 0 0), 2θ 43.89, I = 69; (2 2 3), 2θ 53.67, I = 12; (1 1 9), 2θ 53.90, I = 18; (2 2 6), 2θ 60.87, I = 23; (4 1 6), 2θ 78.04, I = 13; (3 0 12), 2θ 81.03, I = 10

Structural model:
```
data_MgIn3Rh2
_symmetry_space_group_name_H-M 'R -3 c'
_symmetry_Int_Tables_number 167
_symmetry_space_group_name_Hall '-R 3 2"c'
_cell_length_a 7.1471
_cell_length_b 7.1471
_cell_length_c 17.4075
_cell_angle_alpha 90.00
_cell_angle_beta 90.00
_cell_angle_gamma 120.00
loop_
_atom_site_label
_atom_site_type_symbol
_atom_site_fract_x
_atom_site_fract_y
_atom_site_fract_z
_atom_site_occupancy
Mg1 Mg 0.0000 0.0000 0.0000 1
In1 In 0.0000 0.2945 0.2500 1
Rh1 Rh 0.0000 0.0000 0.1516 1
```

9.
Simulated X-ray powder pattern
Compound: Mg3In2Rh
Radiation: Cu Kα, 1.54184 Å
Structure: DFT lattice parameters and positions (GGA-PBE)
Neutral-atom scattering factors, no anomalous dispersion.

Principal peaks in the range 10° ≤ 2θ ≤ 90°, sorted by position:
(0 2 0), 2θ 21.45, I = 85; (1 0 1), 2θ 28.42, I = 39; (1 0 -2), 2θ 28.83, I = 38; (1 2 1), 2θ 35.88, I = 100; (1 2 -2), 2θ 36.22, I = 97; (0 0 3), 2θ 40.49, I = 34; (2 0 -1), 2θ 41.36, I = 38; (0 4 0), 2θ 43.70, I = 26; (0 2 3), 2θ 46.27, I = 20; (2 2 -1), 2θ 47.06, I = 21; (1 4 -2), 2θ 53.20, I = 17; (2 4 -1), 2θ 61.74, I = 18

Structural model:
```
data_Mg3In2Rh
_symmetry_space_group_name_H-M 'P 1 2/m 1'
_symmetry_Int_Tables_number 10
_cell_length_a 4.366
_cell_length_b 8.286
_cell_length_c 7.003
_cell_angle_alpha 90.00
_cell_angle_beta 107.35
_cell_angle_gamma 90.00
loop_
_symmetry_equiv_pos_as_xyz
'x,y,z'
'-x,-y,-z'
'-x,y,-z'
'x,-y,z'
loop_
_atom_site_label
_atom_site_type_symbol
_atom_site_fract_x
_atom_site_fract_y
_atom_site_fract_z
_atom_site_occupancy
Mg1 Mg 0.000 0.238 0.000 1
Mg2 Mg 0.321 0.200 0.644 1
In1 In 0.170 0.500 0.338 1
In2 In 0.500 0.000 0.000 1
In3 In 0.500 0.500 0.000 1
Rh1 Rh 0.153 0.000 0.303 1
```

10.
Simulated X-ray powder pattern
Compound: Mg4InRh2
Radiation: Cu Kα, 1.54184 Å
Structure: DFT lattice parameters and positions (GGA-PBE)
Neutral-atom scattering factors, no anomalous dispersion.

Principal peaks in the range 10° ≤ 2θ ≤ 90°, sorted by position:
(0 0 6), 2θ 22.88, I = 61; (0 1 3), 2θ 23.93, I = 100; (1 0 3), 2θ 30.85, I = 63; (1 1 0), 2θ 35.72, I = 49; (0 1 9), 2θ 40.82, I = 49; (0 2 0), 2θ 42.71, I = 26; (1 1 6), 2θ 42.84, I = 78; (1 0 9), 2θ 45.48, I = 24; (0 2 6), 2θ 48.99, I = 15; (1 2 3), 2θ 53.61, I = 26; (1 2 9), 2θ 64.15, I = 17; (2 1 9), 2θ 74.37, I = 16

Structural model:
```
data_Mg4InRh2
_symmetry_space_group_name_H-M 'I m m m'
_symmetry_Int_Tables_number 71
_symmetry_space_group_name_Hall '-I 2 2'
_cell_length_a 3.124
_cell_length_b 4.234
_cell_length_c 23.323
_cell_angle_alpha 90.00
_cell_angle_beta 90.00
_cell_angle_gamma 90.00
loop_
_atom_site_label
_atom_site_type_symbol
_atom_site_fract_x
_atom_site_fract_y
_atom_site_fract_z
_atom_site_occupancy
Mg1 Mg 0.000 0.000 0.128 1
Mg2 Mg 0.000 0.500 0.264 1
In1 In 0.000 0.000 0.000 1
Rh1 Rh 0.000 0.000 0.332 1
```

11.
Simulated X-ray powder pattern
Compound: Mg6InRh5
Radiation: Cu Kα, 1.54184 Å
Structure: DFT lattice parameters and positions (GGA-PBE)
Neutral-atom scattering factors, no anomalous dispersion.

Principal peaks in the range 10° ≤ 2θ ≤ 90°, sorted by position:
(0 2 0), 2θ 27.33, I = 28; (1 0 3), 2θ 28.55, I = 48; (1 2 3), 2θ 39.94, I = 100; (2 0 0), 2θ 40.48, I = 25; (0 0 6), 2θ 41.15, I = 21; (2 2 0), 2θ 49.54, I = 11; (0 2 6), 2θ 50.11, I = 9; (2 0 6), 2θ 59.10, I = 14; (1 4 3), 2θ 64.42, I = 10; (3 2 3), 2θ 73.26, I = 16; (1 2 9), 2θ 74.17, I = 12; (2 4 6), 2θ 86.16, I = 9

Structural model:
```
data_Mg6InRh5
_symmetry_space_group_name_H-M 'I m m m'
_symmetry_Int_Tables_number 71
_symmetry_space_group_name_Hall '-I 2 2'
_cell_length_a 4.456
_cell_length_b 6.526
_cell_length_c 13.162
_cell_angle_alpha 90.00
_cell_angle_beta 90.00
_cell_angle_gamma 90.00
loop_
_atom_site_label
_atom_site_type_symbol
_atom_site_fract_x
_atom_site_fract_y
_atom_site_fract_z
_atom_site_occupancy
Mg1 Mg 0.000 0.218 0.000 1
Mg2 Mg 0.000 0.268 0.324 1
In1 In 0.000 0.000 0.500 1
Rh1 Rh 0.000 0.000 0.170 1
Rh2 Rh 0.000 0.500 0.151 1
Rh3 Rh 0.000 0.500 0.500 1
```

12.
Simulated X-ray powder pattern
Compound: TmMgInRh
Radiation: Cu Kα, 1.54184 Å
Structure: DFT lattice parameters and positions (GGA-PBE)
Neutral-atom scattering factors, no anomalous dispersion.

Principal peaks in the range 10° ≤ 2θ ≤ 90°, sorted by position:
(1 1 1), 2θ 22.41, I = 28; (2 0 0), 2θ 25.93, I = 1; (2 2 0), 2θ 37.00, I = 100; (3 1 1), 2θ 43.68, I = 15; (4 0 0), 2θ 53.32, I = 17; (3 3 1), 2θ 58.54, I = 6; (4 2 2), 2θ 66.67, I = 35; (5 1 1), 2θ 71.30, I = 5; (4 4 0), 2θ 78.77, I = 11; (5 3 1), 2θ 83.15, I = 5

Structural model:
```
data_TmMgInRh
_symmetry_space_group_name_H-M 'F -4 3 m'
_symmetry_Int_Tables_number 216
_symmetry_space_group_name_Hall 'F -4 2 3'
_cell_length_a 6.873
_cell_length_b 6.873
_cell_length_c 6.873
_cell_angle_alpha 90.00
_cell_angle_beta 90.00
_cell_angle_gamma 90.00
loop_
_atom_site_label
_atom_site_type_symbol
_atom_site_fract_x
_atom_site_fract_y
_atom_site_fract_z
_atom_site_occupancy
Tm1 Tm 0.000 0.000 0.000 1
Mg1 Mg 0.000 0.000 0.500 1
In1 In 0.250 0.250 0.250 1
Rh1 Rh 0.250 0.250 0.750 1
```

What did the ninth record say?
Simulated X-ray powder pattern
Compound: Mg3In2Rh
Radiation: Cu Kα, 1.54184 Å
Structure: DFT lattice parameters and positions (GGA-PBE)
Neutral-atom scattering factors, no anomalous dispersion.

Principal peaks in the range 10° ≤ 2θ ≤ 90°, sorted by position:
(0 2 0), 2θ 21.45, I = 85; (1 0 1), 2θ 28.42, I = 39; (1 0 -2), 2θ 28.83, I = 38; (1 2 1), 2θ 35.88, I = 100; (1 2 -2), 2θ 36.22, I = 97; (0 0 3), 2θ 40.49, I = 34; (2 0 -1), 2θ 41.36, I = 38; (0 4 0), 2θ 43.70, I = 26; (0 2 3), 2θ 46.27, I = 20; (2 2 -1), 2θ 47.06, I = 21; (1 4 -2), 2θ 53.20, I = 17; (2 4 -1), 2θ 61.74, I = 18

Structural model:
```
data_Mg3In2Rh
_symmetry_space_group_name_H-M 'P 1 2/m 1'
_symmetry_Int_Tables_number 10
_cell_length_a 4.366
_cell_length_b 8.286
_cell_length_c 7.003
_cell_angle_alpha 90.00
_cell_angle_beta 107.35
_cell_angle_gamma 90.00
loop_
_symmetry_equiv_pos_as_xyz
'x,y,z'
'-x,-y,-z'
'-x,y,-z'
'x,-y,z'
loop_
_atom_site_label
_atom_site_type_symbol
_atom_site_fract_x
_atom_site_fract_y
_atom_site_fract_z
_atom_site_occupancy
Mg1 Mg 0.000 0.238 0.000 1
Mg2 Mg 0.321 0.200 0.644 1
In1 In 0.170 0.500 0.338 1
In2 In 0.500 0.000 0.000 1
In3 In 0.500 0.500 0.000 1
Rh1 Rh 0.153 0.000 0.303 1
```